# Ba2Li3InSb4
Calculated X-ray diffraction stick pattern, Cu Kα (λ = 1.5418 Å). Input: DFT lattice parameters and positions (GGA-PBE).
Peak positions follow from Bragg's law for the DFT cell and can differ from measured ones.

Largest 10 diffraction maxima, sorted by position, 2θ from 15° to 90°:
Position (°2θ)  I (rel.)  (hkl)
23.65  36  1 0 2
26.62  18  1 1 1
29.33  37  1 0 3
29.84  100  1 1 2
36.32  51  2 0 0
43.09  19  1 0 5
47.35  19  2 1 3
52.31  18  2 2 0
57.59  16  2 1 5
61.39  25  3 1 2

Structural model:
```
Ba2Li3InSb4
1.0
4.9465 0.0000 0.0000
0.0000 4.9465 0.0000
0.0000 0.0000 11.5921
Ba Li In Sb
2 3 1 4
direct
0.0000 0.5000 0.2358
0.5000 0.0000 0.7642
0.0000 0.5000 0.8797
0.5000 0.0000 0.1203
0.5000 0.5000 0.5000
0.0000 0.0000 0.5000
0.0000 0.0000 0.0000
0.0000 0.5000 0.6395
0.5000 0.0000 0.3605
0.5000 0.5000 0.0000
```